Al3Tl3Ga8: calculated X-ray diffraction stick pattern (CuKα), based on a crystal structure in Alexandria, relaxed with PBE.

Main lines, in order of rising 2θ (10° ≤ 2θ ≤ 80°):
| Position (°2θ) | I (rel.) |
| --- | --- |
| 20.98 | 19 |
| 27.94 | 15 |
| 33.04 | 33 |
| 33.55 | 100 |
| 34.71 | 51 |
| 38.29 | 31 |
| 51.44 | 28 |
| 66.20 | 31 |

Crystal structure
```
Al3Tl3Ga8
1.0
-2.3504 4.8691 6.5272
2.3504 -4.8691 6.5272
2.3504 4.8691 -6.5272
Al Tl Ga
3 3 8
direct
0.0000 0.0000 0.0000
0.1582 0.5000 0.6582
0.8418 0.5000 0.3418
0.2182 0.7182 0.5000
0.5000 0.0000 0.5000
0.7818 0.2818 0.5000
0.0652 0.8582 0.2069
0.2117 0.3516 0.8601
0.3487 0.1418 0.2069
0.4915 0.3516 0.1399
0.5085 0.6484 0.8601
0.6513 0.8582 0.7931
0.7883 0.6484 0.1399
0.9348 0.1418 0.7931
```

TbHo3Ru8: calculated X-ray diffraction stick pattern (CuKα), based on a crystal structure in Alexandria, relaxed with PBE.

Main lines, in order of rising 2θ (10° ≤ 2θ ≤ 80°):
| Position (°2θ) | I (rel.) |
| --- | --- |
| 33.56 | 29 |
| 33.70 | 29 |
| 39.56 | 34 |
| 39.70 | 100 |
| 41.56 | 26 |
| 64.26 | 32 |
| 70.54 | 17 |
| 70.87 | 17 |

Crystal structure
```
TbHo3Ru8
1.0
2.6594 1.5354 8.7382
-2.6594 1.5354 8.7382
0.0000 -3.0708 8.7382
Tb Ho Ru
1 3 8
direct
0.0000 0.0000 0.0000
0.1250 0.1250 0.1250
0.5001 0.5001 0.5001
0.6249 0.6249 0.6249
0.0627 0.0627 0.5613
0.0627 0.5613 0.0627
0.0632 0.5627 0.5627
0.3126 0.3126 0.3126
0.5613 0.0627 0.0627
0.5627 0.0632 0.5627
0.5627 0.5627 0.0632
0.8126 0.8126 0.8126
```

Cs2Na12Tl7: calculated X-ray diffraction stick pattern (CuKα), based on a crystal structure in Alexandria, relaxed with PBE.

Main lines, in order of rising 2θ (10° ≤ 2θ ≤ 80°):
| Position (°2θ) | I (rel.) |
| --- | --- |
| 21.61 | 42 |
| 21.82 | 36 |
| 23.15 | 100 |
| 27.28 | 36 |
| 28.70 | 35 |
| 32.68 | 39 |
| 33.11 | 78 |
| 47.64 | 34 |

Crystal structure
```
Cs2Na12Tl7
1.0
12.4433 0.0000 0.0000
-6.2216 10.7762 0.0000
0.0000 0.0000 5.4807
Cs Na Tl
2 12 7
direct
0.0000 0.0000 0.0000
0.3333 0.6667 0.5000
0.1793 0.3886 0.0000
0.2093 0.8207 0.0000
0.2832 0.2813 0.5000
0.3756 0.1696 0.0000
0.5589 0.1535 0.5000
0.5946 0.4411 0.5000
0.6114 0.7907 0.0000
0.7187 0.0020 0.5000
0.7940 0.6244 0.0000
0.8304 0.2060 0.0000
0.8465 0.4054 0.5000
0.9980 0.7168 0.5000
0.0031 0.5151 0.0000
0.0137 0.2801 0.5000
0.2664 0.9863 0.5000
0.4849 0.4879 0.0000
0.5121 0.9969 0.0000
0.6667 0.3333 0.0000
0.7199 0.7336 0.5000
```

Ta3Cu: calculated X-ray diffraction stick pattern (CuKα), based on a crystal structure in Alexandria, relaxed with PBE.

Main lines, in order of rising 2θ (10° ≤ 2θ ≤ 80°):
| Position (°2θ) | I (rel.) |
| --- | --- |
| 33.29 | 12 |
| 36.91 | 28 |
| 38.21 | 28 |
| 38.85 | 100 |
| 41.90 | 45 |
| 47.52 | 12 |
| 54.65 | 13 |
| 70.34 | 12 |

Crystal structure
```
Ta3Cu
1.0
5.3524 0.0000 0.0000
0.0000 9.2757 0.0000
0.0000 0.0000 5.4700
Ta Cu
12 4
direct
0.0088 0.2500 0.1334
0.2299 0.0220 0.6304
0.2299 0.4780 0.6304
0.2701 0.5220 0.1304
0.2701 0.9780 0.1304
0.4912 0.7500 0.6334
0.5088 0.2500 0.3666
0.7299 0.0220 0.8696
0.7299 0.4780 0.8696
0.7701 0.5220 0.3696
0.7701 0.9780 0.3696
0.9912 0.7500 0.8666
0.0651 0.7500 0.3785
0.4349 0.2500 0.8785
0.5651 0.7500 0.1215
0.9349 0.2500 0.6215
```

Na4VSe5: calculated X-ray diffraction stick pattern (CuKα), based on a crystal structure in Alexandria, relaxed with PBE.

Main lines, in order of rising 2θ (10° ≤ 2θ ≤ 80°):
| Position (°2θ) | I (rel.) |
| --- | --- |
| 13.71 | 40 |
| 17.48 | 30 |
| 26.26 | 70 |
| 29.28 | 67 |
| 30.97 | 100 |
| 38.49 | 28 |
| 43.14 | 71 |
| 44.37 | 32 |

Crystal structure
```
Na4VSe5
1.0
-4.5656 4.5656 3.0500
4.5656 -4.5656 3.0500
4.5656 4.5656 -3.0500
Na V Se
4 1 5
direct
0.0884 0.3015 0.3899
0.3015 0.9116 0.2131
0.6985 0.0884 0.7869
0.9116 0.6985 0.6101
0.6016 0.6016 0.0000
0.2502 0.5756 0.8328
0.4174 0.2502 0.6745
0.5756 0.7428 0.3255
0.7428 0.4174 0.1672
0.9759 0.9759 0.0000
```

CsI2O8: calculated X-ray diffraction stick pattern (CuKα), based on a crystal structure in Alexandria, relaxed with PBE.

Main lines, in order of rising 2θ (10° ≤ 2θ ≤ 80°):
| Position (°2θ) | I (rel.) |
| --- | --- |
| 22.55 | 50 |
| 24.61 | 45 |
| 25.53 | 100 |
| 26.04 | 53 |
| 26.61 | 35 |
| 36.13 | 58 |
| 36.78 | 63 |
| 40.73 | 37 |

Crystal structure
```
CsI2O8
1.0
3.4225 -7.2358 0.0000
3.4225 7.2358 0.0000
0.0000 0.0000 3.9833
Cs I O
1 2 8
direct
0.0000 0.0000 0.0000
0.2763 0.7237 0.5000
0.7237 0.2763 0.5000
0.1453 0.4359 0.5000
0.2436 0.7564 0.0000
0.4359 0.1453 0.5000
0.5000 0.5000 0.1550
0.5000 0.5000 0.8450
0.5641 0.8547 0.5000
0.7564 0.2436 0.0000
0.8547 0.5641 0.5000
```